The following is a calculated X-ray diffraction stick pattern of Ba4MgTl8O16. It was derived from a structure optimized by DFT (GGA-PBE), using Cu Kα (weighted mean of Kα1 and Kα2).

Principal peaks in the range 10 to 90 degrees two-theta, sorted by position:
hkl 0 0 4, d = 3.223 Å, 27.68 deg, intensity 58; hkl 3 0 -2, d = 3.107 Å, 28.74 deg, intensity 100; hkl 3 0 2, d = 3.062 Å, 29.17 deg, intensity 81; hkl 1 1 -2, d = 3.035 Å, 29.43 deg, intensity 73; hkl 1 1 2, d = 3.020 Å, 29.58 deg, intensity 65; hkl 2 1 0, d = 2.987 Å, 29.91 deg, intensity 74

Atomic structure:
```
data_Ba4MgTl8O16
_chemical_formula_sum 'Ba4 Mg1 Tl8 O16'
_space_group_name_H-M_alt 'P 1 m 1'
_space_group_IT_number 6
_space_group_name_Hall 'P -2y'
_cell_length_a 10.5338
_cell_length_b 3.6270
_cell_length_c 12.8949
_cell_angle_alpha 90.00
_cell_angle_beta 91.04
_cell_angle_gamma 90.00
loop_
_atom_site_label
_atom_site_type_symbol
_atom_site_fract_x
_atom_site_fract_y
_atom_site_fract_z
_atom_site_occupancy
Ba1 Ba 0.0000 0.0000 0.0000 1
Ba2 Ba 0.0101 0.5000 0.5328 1
Ba3 Ba 0.4755 0.5000 0.7055 1
Ba4 Ba 0.4872 0.0000 0.2045 1
Mg1 Mg 0.7138 0.5000 0.0993 1
Tl1 Tl 0.1696 0.0000 0.7596 1
Tl2 Tl 0.1708 0.0000 0.2540 1
Tl3 Tl 0.3203 0.5000 0.9686 1
Tl4 Tl 0.3220 0.5000 0.4655 1
Tl5 Tl 0.6532 0.0000 0.9287 1
Tl6 Tl 0.6731 0.0000 0.4930 1
Tl7 Tl 0.8248 0.5000 0.7461 1
Tl8 Tl 0.8573 0.5000 0.2942 1
O1 O 0.0338 0.5000 0.2008 1
O2 O 0.1258 0.5000 0.8833 1
O3 O 0.1751 0.0000 0.4344 1
O4 O 0.2234 0.5000 0.6528 1
O5 O 0.2690 0.0000 0.0770 1
O6 O 0.3251 0.5000 0.2886 1
O7 O 0.3668 0.0000 0.8471 1
O8 O 0.4465 0.0000 0.5273 1
O9 O 0.5467 0.5000 0.0155 1
O10 O 0.6540 0.0000 0.7642 1
O11 O 0.6604 0.5000 0.2467 1
O12 O 0.7489 0.5000 0.5862 1
O13 O 0.7699 0.0000 0.0821 1
O14 O 0.8174 0.5000 0.9137 1
O15 O 0.8788 0.0000 0.3989 1
O16 O 0.9624 0.0000 0.7001 1
```